Computed powder diffractogram of LiMnP4O12 for Cu Ka, from a DFT-relaxed cell (PBE+U, Alexandria).
Peak positions follow from Bragg's law for the DFT cell and can differ from measured ones.

Cell and atoms:
```
LiMnP4O12
1.0
5.282 0.000 0.000
-2.243 6.616 0.000
-1.597 -1.842 7.241
Li Mn P O
1 1 4 12
Direct
0.000 0.000 0.000
0.367 0.990 0.383
0.016 0.284 0.513
0.050 0.718 0.624
0.688 0.262 0.139
0.713 0.694 0.251
0.012 0.828 0.792
0.057 0.496 0.653
0.275 0.237 0.549
0.299 0.816 0.554
0.425 0.152 0.195
0.454 0.741 0.209
0.671 0.481 0.111
0.747 0.152 0.979
0.756 0.114 0.522
0.771 0.649 0.451
0.958 0.338 0.315
0.973 0.862 0.233
```

The 10 most intense peaks (5 to 70 degrees two-theta), low angle first:
d_spacing  I/Imax  h k l
7.241  100.0  0 0 1
4.782  20.9  1 -1 0
4.644  17.7  1 0 -1
3.570  25.8  1 0 1
3.549  22.1  0 1 -2
3.451  28.0  1 1 -1
3.281  15.0  1 -2 0
2.922  21.1  -1 2 1
2.762  9.4  0 2 -2
2.360  11.4  -1 2 2